The following is a calculated PXRD pattern of BaSn2MoAs. It was derived from the PBE geometry in Alexandria, using CuKα.
Intensities are scaled so that the largest is 100.

Crystal structure
```
BaSn2MoAs
1.0
5.657 0.000 0.000
0.000 5.657 0.000
0.000 0.000 4.850
Ba Sn Mo As
1 2 1 1
direct
0.000 0.000 0.000
0.000 0.500 0.500
0.500 0.000 0.500
0.500 0.500 0.000
0.500 0.500 0.500
```

Largest 10 diffraction maxima, sorted by position, 2θ from 10° to 90°:
- 2θ = 24.17°, 3.682 Å, I = 12.4
- 2θ = 28.93°, 3.086 Å, I = 100.0
- 2θ = 31.63°, 2.829 Å, I = 77.1
- 2θ = 37.07°, 2.425 Å, I = 25.1
- 2θ = 45.34°, 2.000 Å, I = 28.4
- 2θ = 49.51°, 1.841 Å, I = 43.9
- 2θ = 54.68°, 1.679 Å, I = 34.0
- 2θ = 59.95°, 1.543 Å, I = 24.8
- 2θ = 75.09°, 1.265 Å, I = 13.1
- 2θ = 86.84°, 1.122 Å, I = 18.8

---

The following is a calculated PXRD pattern of Ba6As3N. It was derived from the PBE geometry in Alexandria, using CuKα.
Intensities are scaled so that the largest is 100.

Crystal structure
```
Ba6As3N
1.0
6.820 3.938 4.974
-6.820 3.938 4.974
0.000 -7.875 4.974
Ba As N
12 6 2
direct
0.052 0.710 0.931
0.069 0.948 0.290
0.205 0.430 0.566
0.290 0.069 0.948
0.430 0.566 0.205
0.434 0.795 0.570
0.566 0.205 0.430
0.570 0.434 0.795
0.710 0.931 0.052
0.795 0.570 0.434
0.931 0.052 0.710
0.948 0.290 0.069
0.084 0.761 0.593
0.239 0.407 0.916
0.407 0.916 0.239
0.593 0.084 0.761
0.761 0.593 0.084
0.916 0.239 0.407
0.000 0.000 0.000
0.500 0.500 0.500
```

Largest 10 diffraction maxima, sorted by position, 2θ from 10° to 90°:
- 2θ = 20.77°, 4.278 Å, I = 22.0
- 2θ = 23.22°, 3.831 Å, I = 74.7
- 2θ = 25.03°, 3.557 Å, I = 34.9
- 2θ = 26.13°, 3.410 Å, I = 27.6
- 2θ = 29.78°, 3.000 Å, I = 71.0
- 2θ = 31.24°, 2.863 Å, I = 100.0
- 2θ = 34.80°, 2.578 Å, I = 51.7
- 2θ = 35.23°, 2.547 Å, I = 28.7
- 2θ = 45.12°, 2.009 Å, I = 24.9
- 2θ = 61.60°, 1.506 Å, I = 21.2

---

What did the first record say?
The following is a calculated PXRD pattern of BaSn2MoAs. It was derived from the PBE geometry in Alexandria, using CuKα.
Intensities are scaled so that the largest is 100.

Crystal structure
```
BaSn2MoAs
1.0
5.657 0.000 0.000
0.000 5.657 0.000
0.000 0.000 4.850
Ba Sn Mo As
1 2 1 1
direct
0.000 0.000 0.000
0.000 0.500 0.500
0.500 0.000 0.500
0.500 0.500 0.000
0.500 0.500 0.500
```

Largest 10 diffraction maxima, sorted by position, 2θ from 10° to 90°:
- 2θ = 24.17°, 3.682 Å, I = 12.4
- 2θ = 28.93°, 3.086 Å, I = 100.0
- 2θ = 31.63°, 2.829 Å, I = 77.1
- 2θ = 37.07°, 2.425 Å, I = 25.1
- 2θ = 45.34°, 2.000 Å, I = 28.4
- 2θ = 49.51°, 1.841 Å, I = 43.9
- 2θ = 54.68°, 1.679 Å, I = 34.0
- 2θ = 59.95°, 1.543 Å, I = 24.8
- 2θ = 75.09°, 1.265 Å, I = 13.1
- 2θ = 86.84°, 1.122 Å, I = 18.8